Calculated PXRD pattern of CuTeF6 for Cu Kα (λ = 1.5418 Å), from a DFT-relaxed cell (GGA-PBE, Alexandria).
Peak positions follow from Bragg's law for the DFT cell and can differ from measured ones.

Main lines, sorted by position (15° ≤ 2θ ≤ 90°):
two_theta, I_rel
19.35, 41
21.36, 35
26.52, 100
33.85, 20
38.58, 16
43.51, 26
50.53, 39
56.23, 24
59.66, 10
60.56, 14

Structural model:
```
16
Lattice="5.296 0.000 0.000 -2.648 4.587 0.000 0.000 0.000 9.879" Properties=species:S:1:pos:R:3 pbc="T T T"
Cu 0.000 3.058 2.470
Cu 2.648 1.529 7.409
Te 0.000 0.000 0.000
Te 0.000 0.000 4.940
F -0.637 1.543 1.210
F -1.631 3.264 3.730
F 0.637 1.543 3.730
F -0.994 4.367 1.210
F 1.654 0.220 6.149
F 1.017 1.323 8.669
F 1.631 3.264 1.210
F 0.994 4.367 3.730
F 3.642 0.220 8.669
F 2.011 3.044 6.149
F 4.279 1.323 6.149
F 3.285 3.044 8.669
```



Calculated PXRD pattern of SmTc4As2 for Cu Kα (λ = 1.5418 Å), from a DFT-relaxed cell (GGA-PBE, Alexandria).
Peak positions follow from Bragg's law for the DFT cell and can differ from measured ones.

Main lines, sorted by position (15° ≤ 2θ ≤ 90°):
two_theta, I_rel
31.46, 12
33.19, 22
36.17, 100
38.03, 15
43.79, 39
44.28, 36
44.52, 30
64.23, 19
75.47, 11
81.84, 13

Structural model:
```
7
Lattice="2.067 -7.213 0.000 2.067 7.213 0.000 0.000 0.000 4.070" Properties=species:S:1:pos:R:3 pbc="T T T"
Sm 0.000 0.000 0.000
Tc 2.067 4.484 2.035
Tc 2.067 2.841 0.000
Tc 2.067 -2.841 0.000
Tc 2.067 -4.484 2.035
As 2.067 1.298 2.035
As 2.067 -1.298 2.035
```



Calculated PXRD pattern of CeDy2Er6 for Cu Kα (λ = 1.5418 Å), from a DFT-relaxed cell (GGA-PBE, Alexandria).
Peak positions follow from Bragg's law for the DFT cell and can differ from measured ones.

Main lines, sorted by position (15° ≤ 2θ ≤ 90°):
two_theta, I_rel
31.73, 33
32.02, 61
32.25, 100
45.78, 11
45.89, 11
46.37, 11
56.84, 16
57.28, 11
57.63, 12
63.99, 19

Structural model:
```
18
Lattice="4.426 -4.778 0.000 4.426 4.778 0.000 -1.895 0.000 13.068" Properties=species:S:1:pos:R:3 pbc="T T T"
Ce 3.952 -4.776 3.267
Ce 3.005 4.776 9.801
Dy 1.570 1.612 8.839
Dy 2.518 -1.612 2.304
Dy 4.439 1.612 10.764
Dy 5.386 -1.612 4.230
Er 3.382 3.170 6.671
Er 2.627 3.170 12.931
Er 2.755 1.593 2.044
Er 1.182 0.009 11.969
Er 2.130 -0.009 5.435
Er 5.149 1.593 4.490
Er 1.807 -1.593 8.578
Er 4.827 0.009 7.633
Er 5.774 -0.009 1.099
Er 4.202 -1.593 11.024
Er 4.329 -3.170 0.137
Er 3.574 -3.170 6.397
```



Calculated PXRD pattern of Rb3Sn2Br7 for Cu Kα (λ = 1.5418 Å), from a DFT-relaxed cell (GGA-PBE, Alexandria).
Peak positions follow from Bragg's law for the DFT cell and can differ from measured ones.

Main lines, sorted by position (15° ≤ 2θ ≤ 90°):
two_theta, I_rel
15.40, 23
21.40, 36
28.32, 41
30.45, 100
30.79, 37
31.64, 27
43.60, 40
43.85, 56
44.48, 21
54.32, 30

Structural model:
```
12
Lattice="-2.936 2.936 14.519 2.936 -2.936 14.519 2.936 2.936 -14.519" Properties=species:S:1:pos:R:3 pbc="T T T"
Rb 0.000 0.000 0.000
Rb 0.000 0.000 5.221
Rb 0.000 0.000 23.817
Sn 0.000 0.000 11.514
Sn 0.000 0.000 17.524
Br 2.936 0.000 2.914
Br 0.000 0.000 8.627
Br 2.936 0.000 11.604
Br 0.000 0.000 14.519
Br 0.000 2.936 2.914
Br 0.000 0.000 20.411
Br 0.000 2.936 11.604
```



Calculated PXRD pattern of Li6CuO4 for Cu Kα (λ = 1.5418 Å), from a DFT-relaxed cell (GGA-PBE, Alexandria).
Peak positions follow from Bragg's law for the DFT cell and can differ from measured ones.

Main lines, sorted by position (15° ≤ 2θ ≤ 90°):
two_theta, I_rel
18.90, 39
23.56, 100
26.85, 24
33.30, 29
36.01, 44
43.91, 15
45.49, 26
55.33, 17
56.03, 29
69.05, 14

Structural model:
```
22
Lattice="6.642 0.000 0.000 0.000 6.642 0.000 0.000 0.000 4.590" Properties=species:S:1:pos:R:3 pbc="T T T"
Li 0.215 3.536 1.148
Li 0.215 6.427 1.148
Li 1.660 1.660 0.857
Li 1.660 1.660 3.152
Li 3.106 3.536 1.148
Li 3.106 6.427 1.148
Li 3.536 0.215 3.443
Li 3.536 3.106 3.443
Li 4.981 4.981 1.439
Li 4.981 4.981 3.734
Li 6.427 0.215 3.443
Li 6.427 3.106 3.443
Cu 1.660 4.981 3.443
Cu 4.981 1.660 1.148
O 0.115 1.660 2.051
O 1.660 0.115 4.346
O 1.660 3.206 4.346
O 3.206 1.660 2.051
O 3.436 4.981 2.540
O 4.981 3.436 0.245
O 4.981 6.527 0.245
O 6.527 4.981 2.540
```



Calculated PXRD pattern of SrHgAs2Pb for Cu Kα (λ = 1.5418 Å), from a DFT-relaxed cell (GGA-PBE, Alexandria).
Peak positions follow from Bragg's law for the DFT cell and can differ from measured ones.

Main lines, sorted by position (15° ≤ 2θ ≤ 90°):
two_theta, I_rel
21.85, 45
23.44, 45
25.03, 94
30.95, 71
34.17, 100
34.94, 98
38.47, 29
39.92, 59
51.36, 35
56.64, 30

Structural model:
```
10
Lattice="8.223 -2.258 0.000 8.223 2.258 0.000 -4.890 0.000 8.008" Properties=species:S:1:pos:R:3 pbc="T T T"
Sr 2.600 0.000 2.403
Sr 8.955 0.000 5.605
Hg -1.004 0.000 3.394
Hg 12.559 0.000 4.613
As -1.399 0.000 6.210
As 3.007 0.000 5.520
As 8.548 0.000 2.487
As 12.954 0.000 1.798
Pb 6.233 0.000 0.681
Pb 5.322 0.000 7.327
```



Calculated PXRD pattern of Ac3La2In for Cu Kα (λ = 1.5418 Å), from a DFT-relaxed cell (GGA-PBE, Alexandria).
Peak positions follow from Bragg's law for the DFT cell and can differ from measured ones.

Main lines, sorted by position (15° ≤ 2θ ≤ 90°):
two_theta, I_rel
28.96, 100
32.54, 18
33.71, 17
34.42, 16
47.55, 13
48.09, 12
55.87, 16
57.41, 15
58.34, 14
60.01, 13

Structural model:
```
6
Lattice="2.659 -8.256 0.000 2.659 8.256 0.000 0.000 0.000 5.211" Properties=species:S:1:pos:R:3 pbc="T T T"
Ac 0.000 0.000 0.000
Ac 2.659 2.672 0.000
Ac 2.659 -2.672 0.000
La 2.659 5.569 2.606
La 2.659 -5.569 2.606
In 2.659 0.000 2.606
```



Calculated PXRD pattern of ZrScTa2Tl for Cu Kα (λ = 1.5418 Å), from a DFT-relaxed cell (GGA-PBE, Alexandria).
Peak positions follow from Bragg's law for the DFT cell and can differ from measured ones.

Main lines, sorted by position (15° ≤ 2θ ≤ 90°):
two_theta, I_rel
17.02, 17
24.73, 41
30.64, 100
34.43, 34
36.07, 61
44.23, 18
50.72, 46
51.93, 22
61.51, 28
63.81, 23

Structural model:
```
5
Lattice="4.980 0.000 0.000 0.000 4.980 0.000 0.000 0.000 5.209" Properties=species:S:1:pos:R:3 pbc="T T T"
Zr 0.000 0.000 0.000
Sc 0.000 0.000 2.605
Ta 0.000 2.490 0.000
Ta 2.490 0.000 0.000
Tl 2.490 2.490 2.605
```



Calculated PXRD pattern of Co2Ir8Os for Cu Kα (λ = 1.5418 Å), from a DFT-relaxed cell (GGA-PBE, Alexandria).
Peak positions follow from Bragg's law for the DFT cell and can differ from measured ones.

Main lines, sorted by position (15° ≤ 2θ ≤ 90°):
two_theta, I_rel
30.27, 13
40.19, 22
41.42, 16
42.14, 100
45.52, 20
45.95, 24
66.67, 13
81.78, 10
82.41, 15
83.15, 10

Structural model:
```
11
Lattice="-1.975 3.326 5.979 1.975 -3.326 5.979 1.975 3.326 -5.979" Properties=species:S:1:pos:R:3 pbc="T T T"
Co 0.000 0.000 2.367
Co 0.000 0.000 9.590
Ir 1.975 1.407 -1.859
Ir 0.000 1.390 0.000
Ir 1.975 0.000 4.134
Ir 1.975 1.407 1.859
Ir 0.000 1.919 4.120
Ir 0.000 3.326 1.845
Ir 0.000 5.261 0.000
Ir 0.000 1.919 7.837
Os 0.000 0.000 5.979
```



Calculated PXRD pattern of Ca8Yb3Se12 for Cu Kα (λ = 1.5418 Å), from a DFT-relaxed cell (GGA-PBE, Alexandria).
Peak positions follow from Bragg's law for the DFT cell and can differ from measured ones.

Main lines, sorted by position (15° ≤ 2θ ≤ 90°):
two_theta, I_rel
15.81, 22
18.02, 18
30.03, 51
30.28, 100
43.17, 73
43.35, 39
53.64, 39
70.94, 17
71.47, 17
79.42, 24

Structural model:
```
23
Lattice="5.903 0.000 0.000 0.000 5.903 0.000 0.000 0.000 17.853" Properties=species:S:1:pos:R:3 pbc="T T T"
Ca 0.000 0.000 2.975
Ca 0.000 0.000 14.878
Ca 0.000 2.952 17.850
Ca 0.000 2.952 11.833
Ca 2.952 0.000 0.002
Ca 2.952 0.000 6.020
Ca 2.952 2.952 2.993
Ca 2.952 2.952 14.860
Yb 0.000 0.000 8.926
Yb 0.000 2.952 6.008
Yb 2.952 0.000 11.845
Se 0.000 0.000 0.000
Se 0.000 0.000 5.989
Se 0.000 0.000 11.863
Se 0.000 2.952 3.017
Se 0.000 2.952 8.869
Se 0.000 2.952 14.872
Se 2.952 0.000 2.980
Se 2.952 0.000 8.984
Se 2.952 0.000 14.835
Se 2.952 2.952 0.000
Se 2.952 2.952 5.903
Se 2.952 2.952 11.950
```



What did the tenth record say?
Calculated PXRD pattern of Ca8Yb3Se12 for Cu Kα (λ = 1.5418 Å), from a DFT-relaxed cell (GGA-PBE, Alexandria).
Peak positions follow from Bragg's law for the DFT cell and can differ from measured ones.

Main lines, sorted by position (15° ≤ 2θ ≤ 90°):
two_theta, I_rel
15.81, 22
18.02, 18
30.03, 51
30.28, 100
43.17, 73
43.35, 39
53.64, 39
70.94, 17
71.47, 17
79.42, 24

Structural model:
```
23
Lattice="5.903 0.000 0.000 0.000 5.903 0.000 0.000 0.000 17.853" Properties=species:S:1:pos:R:3 pbc="T T T"
Ca 0.000 0.000 2.975
Ca 0.000 0.000 14.878
Ca 0.000 2.952 17.850
Ca 0.000 2.952 11.833
Ca 2.952 0.000 0.002
Ca 2.952 0.000 6.020
Ca 2.952 2.952 2.993
Ca 2.952 2.952 14.860
Yb 0.000 0.000 8.926
Yb 0.000 2.952 6.008
Yb 2.952 0.000 11.845
Se 0.000 0.000 0.000
Se 0.000 0.000 5.989
Se 0.000 0.000 11.863
Se 0.000 2.952 3.017
Se 0.000 2.952 8.869
Se 0.000 2.952 14.872
Se 2.952 0.000 2.980
Se 2.952 0.000 8.984
Se 2.952 0.000 14.835
Se 2.952 2.952 0.000
Se 2.952 2.952 5.903
Se 2.952 2.952 11.950
```